No. 1
Diffraction record for K3NaMgRu2O8. The powder diffraction line list is theoretical, not measured: it uses the PBE geometry in the Materials Project and λ = 1.5418 Å (Cu Kα).
Intensities are scaled so that the largest is 100.

Largest 8 diffraction maxima, low angle first, 10° ≤ 2θ ≤ 80°:
2θ (°)	intensity
15.83	35
19.54	100
20.35	33
26.98	37
27.95	32
28.52	45
28.80	80
31.98	35

Atomic structure:
```
K3NaMgRu2O8
1.0
5.265 -3.304 0.000
5.265 3.304 0.000
-0.018 0.000 7.778
K Na Mg Ru O
3 1 1 2 8
Direct
0.000 0.000 0.000 K
0.493 0.150 0.331 K
0.850 0.507 0.669 K
0.150 0.850 0.500 Na
0.479 0.521 0.000 Mg
0.470 0.168 0.765 Ru
0.832 0.530 0.235 Ru
0.246 0.075 0.703 O
0.358 0.512 0.762 O
0.488 0.642 0.238 O
0.506 0.193 0.006 O
0.759 0.020 0.667 O
0.807 0.494 0.994 O
0.925 0.754 0.297 O
0.980 0.241 0.333 O
```


No. 2
Diffraction record for SmCoSi4. The powder diffraction line list is theoretical, not measured: it uses the PBE geometry in the Materials Project and λ = 1.5418 Å (Cu Kα).
Intensities are scaled so that the largest is 100.

Largest 8 diffraction maxima, low angle first, 10° ≤ 2θ ≤ 80°:
2θ (°)	intensity
24.29	57
28.10	49
37.46	100
42.73	63
51.92	18
58.10	30
63.86	14
74.75	34

Atomic structure:
```
SmCoSi4
1.0
4.232 0.000 0.000
-2.116 3.665 0.000
0.000 0.000 6.355
Sm Co Si
1 1 4
Direct
0.000 0.000 0.000 Sm
0.000 0.000 0.500 Co
0.333 0.667 0.312 Si
0.333 0.667 0.688 Si
0.667 0.333 0.312 Si
0.667 0.333 0.688 Si
```


No. 3
Diffraction record for NaLiSi2H4O7. The powder diffraction line list is theoretical, not measured: it uses the PBE geometry in the Materials Project and λ = 1.5418 Å (Cu Kα).
Intensities are scaled so that the largest is 100.

Largest 8 diffraction maxima, low angle first, 10° ≤ 2θ ≤ 80°:
2θ (°)	intensity
12.22	42
20.70	37
21.23	100
21.88	43
28.96	28
29.33	99
31.04	53
32.73	33

Atomic structure:
```
NaLiSi2H4O7
1.0
7.282 -4.210 0.000
7.282 4.210 0.000
-0.596 0.000 5.091
Na Li Si H O
2 2 4 8 14
Direct
0.146 0.854 0.750 Na
0.854 0.146 0.250 Na
0.490 0.510 0.250 Li
0.510 0.490 0.750 Li
0.216 0.411 0.446 Si
0.411 0.216 0.946 Si
0.589 0.784 0.054 Si
0.784 0.589 0.554 Si
0.051 0.252 0.975 H
0.112 0.721 0.230 H
0.252 0.051 0.475 H
0.279 0.888 0.270 H
0.721 0.112 0.730 H
0.748 0.949 0.525 H
0.888 0.279 0.770 H
0.949 0.748 0.025 H
0.000 0.500 0.500 O
0.022 0.805 0.099 O
0.195 0.978 0.401 O
0.234 0.325 0.138 O
0.294 0.552 0.488 O
0.325 0.234 0.638 O
0.448 0.706 0.012 O
0.500 0.000 0.000 O
0.552 0.294 0.988 O
0.675 0.766 0.362 O
0.706 0.448 0.512 O
0.766 0.675 0.862 O
0.805 0.022 0.599 O
0.978 0.195 0.901 O
```


No. 4
Diffraction record for Tb4Ge6Ir7. The powder diffraction line list is theoretical, not measured: it uses the PBE geometry in the Materials Project and λ = 1.5418 Å (Cu Kα).
Intensities are scaled so that the largest is 100.

Largest 8 diffraction maxima, low angle first, 10° ≤ 2θ ≤ 80°:
2θ (°)	intensity
25.90	25
36.96	100
40.04	42
42.93	70
50.82	20
62.34	40
74.73	30
76.71	12

Atomic structure:
```
Tb4Ge6Ir7
1.0
-4.213 4.213 4.213
4.213 -4.213 4.213
4.213 4.213 -4.213
Tb Ge Ir
4 6 7
Direct
0.000 0.000 0.500 Tb
0.000 0.500 0.000 Tb
0.500 0.000 0.000 Tb
0.500 0.500 0.500 Tb
0.000 0.318 0.318 Ge
0.000 0.682 0.682 Ge
0.318 0.000 0.318 Ge
0.318 0.318 0.000 Ge
0.682 0.000 0.682 Ge
0.682 0.682 0.000 Ge
0.000 0.000 0.000 Ir
0.250 0.500 0.750 Ir
0.250 0.750 0.500 Ir
0.500 0.250 0.750 Ir
0.500 0.750 0.250 Ir
0.750 0.250 0.500 Ir
0.750 0.500 0.250 Ir
```


No. 5
Diffraction record for ThMn2Ni3. The powder diffraction line list is theoretical, not measured: it uses the PBE geometry in the Materials Project and λ = 1.5418 Å (Cu Kα).
Intensities are scaled so that the largest is 100.

Largest 8 diffraction maxima, low angle first, 10° ≤ 2θ ≤ 80°:
2θ (°)	intensity
30.30	83
35.43	37
41.14	45
42.27	100
45.53	23
60.46	24
63.02	25
68.31	23

Atomic structure:
```
ThMn2Ni3
1.0
5.067 0.000 0.000
-2.534 4.388 0.000
0.000 0.000 3.985
Th Mn Ni
1 2 3
Direct
0.000 0.000 0.000 Th
0.333 0.667 0.000 Mn
0.667 0.333 0.000 Mn
0.000 0.500 0.500 Ni
0.500 0.000 0.500 Ni
0.500 0.500 0.500 Ni
```


No. 6
Diffraction record for CuRe2Cl. The powder diffraction line list is theoretical, not measured: it uses the PBE geometry in the Materials Project and λ = 1.5418 Å (Cu Kα).
Intensities are scaled so that the largest is 100.

Largest 8 diffraction maxima, low angle first, 10° ≤ 2θ ≤ 80°:
2θ (°)	intensity
25.50	1
29.53	40
42.26	100
50.01	1
52.39	12
61.30	16
69.49	16
77.26	33

Atomic structure:
```
CuRe2Cl
1.0
0.000 3.025 3.025
3.025 0.000 3.025
3.025 3.025 0.000
Cu Re Cl
1 2 1
Direct
0.000 0.000 0.000 Cu
0.250 0.250 0.250 Re
0.750 0.750 0.750 Re
0.500 0.500 0.500 Cl
```


No. 7
Diffraction record for TaN2. The powder diffraction line list is theoretical, not measured: it uses the PBE geometry in the Materials Project and λ = 1.5418 Å (Cu Kα).
Intensities are scaled so that the largest is 100.

Largest 8 diffraction maxima, low angle first, 10° ≤ 2θ ≤ 80°:
2θ (°)	intensity
23.45	58
33.20	73
41.05	100
59.33	20
59.58	35
64.69	23
74.68	17
79.64	12

Atomic structure:
```
TaN2
1.0
3.115 0.000 0.000
-1.558 2.698 0.000
0.000 0.000 3.794
Ta N
1 2
Direct
0.000 0.000 0.000 Ta
0.333 0.667 0.316 N
0.333 0.667 0.684 N
```


No. 8
Diffraction record for LiNbF5. The powder diffraction line list is theoretical, not measured: it uses the PBE geometry in the Materials Project and λ = 1.5418 Å (Cu Kα).
Intensities are scaled so that the largest is 100.

Largest 8 diffraction maxima, low angle first, 10° ≤ 2θ ≤ 80°:
2θ (°)	intensity
17.07	15
19.54	17
21.60	100
23.09	15
24.93	55
42.00	44
42.31	21
61.71	19

Atomic structure:
```
LiNbF5
1.0
4.944 -7.705 0.000
4.944 7.705 0.000
-0.953 0.000 5.193
Li Nb F
4 4 20
Direct
0.018 0.642 0.929 Li
0.358 0.982 0.071 Li
0.642 0.018 0.929 Li
0.982 0.358 0.071 Li
0.248 0.248 0.747 Nb
0.308 0.692 0.500 Nb
0.692 0.308 0.500 Nb
0.752 0.752 0.253 Nb
0.041 0.227 0.860 F
0.106 0.677 0.631 F
0.155 0.155 0.397 F
0.159 0.572 0.153 F
0.227 0.041 0.860 F
0.283 0.478 0.624 F
0.323 0.894 0.369 F
0.371 0.371 0.072 F
0.428 0.841 0.847 F
0.478 0.283 0.624 F
0.522 0.717 0.376 F
0.572 0.159 0.153 F
0.629 0.629 0.928 F
0.677 0.106 0.631 F
0.717 0.522 0.376 F
0.773 0.959 0.140 F
0.841 0.428 0.847 F
0.845 0.845 0.603 F
0.894 0.323 0.369 F
0.959 0.773 0.140 F
```


No. 9
Diffraction record for SrGa2Au2. The powder diffraction line list is theoretical, not measured: it uses the PBE geometry in the Materials Project and λ = 1.5418 Å (Cu Kα).
Intensities are scaled so that the largest is 100.

Largest 8 diffraction maxima, low angle first, 10° ≤ 2θ ≤ 80°:
2θ (°)	intensity
28.95	40
31.84	52
32.44	100
39.58	83
43.96	64
51.67	26
57.22	28
74.86	27

Atomic structure:
```
SrGa2Au2
1.0
4.554 0.000 0.000
0.000 4.554 0.000
0.000 0.000 10.718
Sr Ga Au
2 4 4
Direct
0.250 0.250 0.249 Sr
0.750 0.750 0.751 Sr
0.250 0.250 0.874 Ga
0.250 0.750 0.500 Ga
0.750 0.250 0.500 Ga
0.750 0.750 0.126 Ga
0.250 0.250 0.631 Au
0.250 0.750 0.000 Au
0.750 0.250 0.000 Au
0.750 0.750 0.369 Au
```


No. 10
Diffraction record for NaTi6O12. The powder diffraction line list is theoretical, not measured: it uses the PBE geometry in the Materials Project and λ = 1.5418 Å (Cu Kα).
Intensities are scaled so that the largest is 100.

Largest 8 diffraction maxima, low angle first, 10° ≤ 2θ ≤ 80°:
2θ (°)	intensity
21.10	59
21.63	100
30.46	79
31.22	45
35.28	44
35.75	53
40.14	58
51.07	51

Atomic structure:
```
NaTi6O12
1.0
5.958 0.000 0.000
2.976 5.170 0.000
1.496 -0.181 7.005
Na Ti O
1 6 12
Direct
0.000 0.000 0.000 Na
0.051 0.473 0.858 Ti
0.134 0.952 0.542 Ti
0.239 0.408 0.247 Ti
0.550 0.481 0.857 Ti
0.638 0.959 0.563 Ti
0.708 0.471 0.256 Ti
0.085 0.271 0.111 O
0.195 0.611 0.007 O
0.332 0.647 0.366 O
0.333 0.129 0.423 O
0.434 0.265 0.744 O
0.436 0.777 0.697 O
0.592 0.273 0.111 O
0.680 0.643 0.008 O
0.828 0.139 0.421 O
0.843 0.644 0.370 O
0.933 0.267 0.748 O
0.942 0.782 0.701 O
```